Record 1
Starting from a cell relaxed with PBE, the XRD peak list of Ac2ThS5 was simulated for Cu Kα X-rays.
No peak broadening, texture or thermal motion is included.

Atomic structure:
```
32
Lattice="12.3986 0.0000 0.0000 0.0000 8.5765 0.0000 0.0000 0.0000 7.7848" Properties=species:S:1:pos:R:3 pbc="T T T"
Ac 2.1695 0.0169 0.2320
Ac 2.1695 4.2714 0.2320
Ac 4.0298 4.3051 4.1244
Ac 4.0298 8.5596 4.1244
Ac 8.3688 0.0169 3.6604
Ac 8.3688 4.2714 3.6604
Ac 10.2291 4.3051 7.5529
Ac 10.2291 8.5596 7.5529
Th 0.0980 2.1441 4.4131
Th 6.1013 6.4324 0.5207
Th 6.2973 2.1441 7.2641
Th 12.3006 6.4324 3.3717
S 0.0361 2.1441 7.3796
S 1.1414 4.6067 5.1631
S 1.1414 8.2580 5.1631
S 2.3375 2.1441 2.6334
S 2.6280 6.4324 2.4334
S 3.5714 2.1441 6.3258
S 3.8618 6.4324 6.5259
S 5.0579 0.3185 1.2707
S 5.0579 3.9698 1.2707
S 6.1633 6.4324 3.4872
S 6.2354 2.1441 4.2976
S 7.3408 4.6067 6.5141
S 7.3408 8.2580 6.5141
S 8.5369 2.1441 1.2590
S 8.8273 6.4324 1.4590
S 9.7707 2.1441 5.3514
S 10.0611 6.4324 5.1514
S 11.2572 0.3185 2.6217
S 11.2572 3.9698 2.6217
S 12.3626 6.4324 0.4052
```

Main lines, by angle (10° ≤ 2θ ≤ 80°):
| Position (°2θ) | I/Imax |
| --- | --- |
| 22.85 | 485 |
| 24.38 | 1000 |
| 24.77 | 740 |
| 25.25 | 545 |
| 31.04 | 169 |
| 32.20 | 242 |
| 34.31 | 558 |
| 35.74 | 239 |
| 41.07 | 187 |
| 42.15 | 242 |
| 43.76 | 519 |
| 49.29 | 325 |



Record 2
Starting from a cell relaxed with PBE, the XRD peak list of Ac2Th2S7 was simulated for Cu Kα X-rays.
No peak broadening, texture or thermal motion is included.

Atomic structure:
```
11
Lattice="4.8045 0.0000 0.0000 0.0000 4.8045 0.0000 0.0000 0.0000 13.8239" Properties=species:S:1:pos:R:3 pbc="T T T"
Ac 0.0000 2.4022 2.0011
Ac 2.4022 0.0000 11.8228
Th 0.0000 2.4022 8.5634
Th 2.4022 0.0000 5.2605
S 0.0000 0.0000 3.5381
S 0.0000 0.0000 6.9119
S 0.0000 0.0000 10.2858
S 2.4022 2.4022 0.0000
S 2.4022 2.4022 3.6970
S 2.4022 2.4022 6.9119
S 2.4022 2.4022 10.1268
```

Main lines, by angle (10° ≤ 2θ ≤ 80°):
| Position (°2θ) | I/Imax |
| --- | --- |
| 22.54 | 1000 |
| 25.78 | 83 |
| 26.23 | 187 |
| 37.11 | 412 |
| 37.44 | 238 |
| 43.57 | 140 |
| 44.14 | 354 |
| 46.01 | 82 |
| 53.99 | 87 |
| 58.76 | 118 |
| 67.32 | 144 |
| 72.20 | 85 |



Record 3
Starting from a cell relaxed with PBE, the XRD peak list of AcTi4S8 was simulated for Cu Kα X-rays.
No peak broadening, texture or thermal motion is included.

Atomic structure:
```
13
Lattice="3.4480 1.9907 7.1187 -3.4480 1.9907 7.1187 0.0000 -3.9815 7.1187" Properties=species:S:1:pos:R:3 pbc="T T T"
Ac 0.0000 0.0000 0.0000
Ti -3.4480 0.0000 10.6780
Ti -1.7240 0.9954 3.5593
Ti 1.7240 0.9954 3.5593
Ti 0.0000 0.0000 10.6780
S 0.0000 0.0000 4.9700
S -1.6901 -0.9758 12.1323
S 0.0000 -1.9515 9.2237
S -1.6901 0.9758 9.2237
S 1.6901 -0.9758 12.1323
S 0.0000 1.9515 12.1323
S 1.6901 0.9758 9.2237
S 0.0000 0.0000 16.3860
```

Main lines, by angle (10° ≤ 2θ ≤ 80°):
| Position (°2θ) | I/Imax |
| --- | --- |
| 15.41 | 740 |
| 17.01 | 632 |
| 22.34 | 335 |
| 25.64 | 259 |
| 25.84 | 235 |
| 28.77 | 350 |
| 34.41 | 1000 |
| 36.27 | 202 |
| 40.17 | 165 |
| 45.58 | 413 |
| 53.13 | 353 |
| 64.83 | 173 |



Record 4
Starting from a cell relaxed with PBE, the XRD peak list of AcTl2S8 was simulated for Cu Kα X-rays.
No peak broadening, texture or thermal motion is included.

Atomic structure:
```
11
Lattice="5.7564 0.0000 0.0000 -0.0038 5.7675 0.0000 -2.8483 -2.4520 9.5711" Properties=species:S:1:pos:R:3 pbc="T T T"
Ac 0.0000 0.0000 0.0000
Tl 0.0289 -0.5918 6.7532
Tl 2.8754 3.9072 2.8179
S 0.0013 2.7792 1.4562
S -0.0047 -0.0720 3.0586
S -0.0105 1.9549 3.3606
S 0.0258 2.2786 9.4445
S 2.8785 1.0369 0.1266
S 2.9148 1.3606 6.2105
S 2.9090 3.3875 6.5125
S 2.9031 0.5363 8.1149
```

Main lines, by angle (10° ≤ 2θ ≤ 80°):
| Position (°2θ) | I/Imax |
| --- | --- |
| 15.86 | 440 |
| 20.30 | 823 |
| 20.78 | 868 |
| 21.83 | 764 |
| 24.02 | 783 |
| 27.97 | 719 |
| 28.57 | 552 |
| 31.07 | 871 |
| 34.96 | 1000 |
| 35.12 | 489 |
| 35.21 | 376 |
| 37.40 | 362 |



Record 5
Starting from a cell relaxed with PBE, the XRD peak list of AcTl2S was simulated for Cu Kα X-rays.
No peak broadening, texture or thermal motion is included.

Atomic structure:
```
12
Lattice="3.8877 0.0000 0.0000 -1.9438 3.3668 0.0000 0.0000 0.0000 31.3724" Properties=species:S:1:pos:R:3 pbc="T T T"
Ac 0.0000 0.0000 0.0000
Ac 0.0000 2.2446 20.9150
Ac 1.9438 1.1223 10.4575
Tl 0.0000 0.0000 3.4128
Tl 0.0000 0.0000 27.9596
Tl 0.0000 2.2446 17.5021
Tl 0.0000 2.2446 24.3278
Tl 1.9438 1.1223 7.0446
Tl 1.9438 1.1223 13.8703
S 0.0000 0.0000 15.6862
S 0.0000 2.2446 5.2287
S 1.9438 1.1223 26.1437
```

Main lines, by angle (10° ≤ 2θ ≤ 80°):
| Position (°2θ) | I/Imax |
| --- | --- |
| 25.55 | 508 |
| 26.63 | 1000 |
| 27.09 | 442 |
| 35.13 | 558 |
| 39.25 | 523 |
| 41.50 | 131 |
| 46.73 | 388 |
| 54.01 | 413 |
| 54.59 | 146 |
| 59.78 | 122 |
| 62.65 | 255 |
| 72.89 | 202 |



Record 6
Starting from a cell relaxed with PBE, the XRD peak list of Ac2UTl2S6 was simulated for Cu Kα X-rays.
No peak broadening, texture or thermal motion is included.

Atomic structure:
```
11
Lattice="3.7631 -6.4242 0.0000 3.7631 6.4242 0.0000 -2.4665 0.0000 7.4303" Properties=species:S:1:pos:R:3 pbc="T T T"
Ac 3.7631 4.2987 0.0000
Ac 3.7631 -4.2987 0.0000
U 3.7631 0.0000 0.0000
Tl 2.5298 2.1242 3.7152
Tl 2.5298 -2.1242 3.7152
S 0.1409 1.9938 5.9649
S 1.5013 0.0000 1.5155
S 0.1409 -1.9938 5.9649
S 4.9187 1.9938 1.4654
S 3.5583 0.0000 5.9148
S 4.9187 -1.9938 1.4654
```

Main lines, by angle (10° ≤ 2θ ≤ 80°):
| Position (°2θ) | I/Imax |
| --- | --- |
| 11.91 | 278 |
| 23.96 | 433 |
| 24.93 | 344 |
| 25.25 | 663 |
| 28.70 | 503 |
| 28.81 | 1000 |
| 40.49 | 370 |
| 41.73 | 369 |
| 42.19 | 197 |
| 47.50 | 240 |
| 49.08 | 236 |
| 51.83 | 192 |



Record 7
Starting from a cell relaxed with PBE, the XRD peak list of Ac2US5 was simulated for Cu Kα X-rays.
No peak broadening, texture or thermal motion is included.

Atomic structure:
```
32
Lattice="12.2729 0.0000 0.0000 0.0000 8.4546 0.0000 0.0000 0.0000 7.7241" Properties=species:S:1:pos:R:3 pbc="T T T"
Ac 2.1290 0.0176 0.2933
Ac 2.1290 4.2097 0.2933
Ac 4.0075 4.2449 4.1554
Ac 4.0075 8.4370 4.1554
Ac 8.2654 0.0176 3.5687
Ac 8.2654 4.2097 3.5687
Ac 10.1439 4.2449 7.4308
Ac 10.1439 8.4370 7.4308
U 0.0680 2.1137 4.3138
U 6.0685 6.3410 0.4518
U 6.2044 2.1137 7.2723
U 12.2049 6.3410 3.4103
S 0.0311 2.1137 7.2930
S 1.0667 4.5156 5.1276
S 1.0667 8.1663 5.1276
S 2.3101 2.1137 2.6550
S 2.5713 6.3410 2.4846
S 3.5652 2.1137 6.3466
S 3.8263 6.3410 6.5171
S 5.0698 0.2883 1.2656
S 5.0698 3.9390 1.2656
S 6.1054 6.3410 3.4310
S 6.1675 2.1137 4.2931
S 7.2031 4.5156 6.4585
S 7.2031 8.1663 6.4585
S 8.4466 2.1137 1.2070
S 8.7077 6.3410 1.3775
S 9.7016 2.1137 5.2395
S 9.9627 6.3410 5.0691
S 11.2062 0.2883 2.5965
S 11.2062 3.9390 2.5965
S 12.2418 6.3410 0.4311
```

Main lines, by angle (10° ≤ 2θ ≤ 80°):
| Position (°2θ) | I/Imax |
| --- | --- |
| 23.03 | 483 |
| 24.63 | 1000 |
| 25.09 | 758 |
| 25.59 | 513 |
| 32.23 | 207 |
| 32.59 | 222 |
| 34.69 | 544 |
| 36.17 | 247 |
| 41.44 | 177 |
| 42.78 | 237 |
| 44.26 | 502 |
| 49.98 | 318 |



Record 8
Starting from a cell relaxed with PBE, the XRD peak list of Ac3US6 was simulated for Cu Kα X-rays.
No peak broadening, texture or thermal motion is included.

Atomic structure:
```
20
Lattice="6.4492 3.7235 4.1551 -6.4492 3.7235 4.1551 0.0000 -7.4469 4.1551" Properties=species:S:1:pos:R:3 pbc="T T T"
Ac -4.3391 -1.1857 6.2648
Ac -1.1427 -4.3506 6.2005
Ac -3.1964 3.1649 6.2005
Ac 3.1964 -3.1649 6.2648
Ac 1.1427 4.3506 6.2648
Ac 4.3391 1.1857 6.2005
U 0.0000 0.0000 0.0000
U 0.0000 0.0000 6.2327
S -4.0303 -4.0898 7.0295
S -5.5570 1.4454 5.4358
S -1.6285 -1.7589 4.8766
S 1.5267 -5.5352 5.4358
S -0.7090 2.2898 4.8766
S -2.3376 0.5309 7.5887
S 2.3376 -0.5309 4.8766
S 0.7090 -2.2898 7.5887
S -1.5267 5.5352 7.0295
S 1.6286 1.7589 7.5887
S 5.5570 -1.4454 7.0295
S 4.0303 4.0898 5.4358
```

Main lines, by angle (10° ≤ 2θ ≤ 80°):
| Position (°2θ) | I/Imax |
| --- | --- |
| 16.29 | 250 |
| 21.38 | 493 |
| 22.23 | 1000 |
| 25.49 | 966 |
| 32.27 | 374 |
| 35.81 | 828 |
| 36.87 | 486 |
| 43.51 | 247 |
| 45.36 | 296 |
| 47.62 | 232 |
| 52.35 | 247 |
| 67.16 | 220 |



Record 9
Starting from a cell relaxed with PBE, the XRD peak list of Ac2YS4 was simulated for Cu Kα X-rays.
No peak broadening, texture or thermal motion is included.

Atomic structure:
```
14
Lattice="1.9921 -7.1162 0.0000 1.9921 7.1162 0.0000 0.0000 0.0000 13.8148" Properties=species:S:1:pos:R:3 pbc="T T T"
Ac 1.9921 5.2630 7.9615
Ac 1.9921 5.2630 12.7606
Ac 1.9921 -5.2630 1.0541
Ac 1.9921 -5.2630 5.8533
Y 1.9921 1.8297 10.3611
Y 1.9921 -1.8297 3.4537
S 1.9921 6.9894 10.3611
S 1.9921 4.0382 1.7728
S 1.9921 4.0382 5.1345
S 1.9921 0.0000 0.0000
S 1.9921 0.0000 6.9074
S 1.9921 -4.0382 8.6802
S 1.9921 -4.0382 12.0419
S 1.9921 -6.9894 3.4537
```

Main lines, by angle (10° ≤ 2θ ≤ 80°):
| Position (°2θ) | I/Imax |
| --- | --- |
| 12.82 | 175 |
| 23.00 | 1000 |
| 23.18 | 244 |
| 24.07 | 197 |
| 25.03 | 272 |
| 29.27 | 212 |
| 29.99 | 224 |
| 32.07 | 373 |
| 39.43 | 220 |
| 40.22 | 210 |
| 42.89 | 253 |
| 51.62 | 236 |



Record 10
Starting from a cell relaxed with PBE, the XRD peak list of AcY4S5 was simulated for Cu Kα X-rays.
No peak broadening, texture or thermal motion is included.

Atomic structure:
```
10
Lattice="-1.9839 2.8485 10.0493 1.9839 -2.8485 10.0493 1.9839 2.8485 -10.0493" Properties=species:S:1:pos:R:3 pbc="T T T"
Ac 0.0000 0.0000 0.0000
Y 0.0000 0.0000 4.1104
Y 0.0000 0.0000 8.0248
Y 0.0000 0.0000 12.0738
Y 0.0000 0.0000 15.9883
S 1.9839 0.0000 2.2195
S 1.9839 0.0000 6.0591
S 0.0000 2.8485 0.0000
S 0.0000 2.8485 3.9902
S 0.0000 2.8485 7.8298
```

Main lines, by angle (10° ≤ 2θ ≤ 80°):
| Position (°2θ) | I/Imax |
| --- | --- |
| 27.15 | 459 |
| 27.39 | 445 |
| 31.41 | 520 |
| 31.69 | 1000 |
| 45.11 | 174 |
| 45.22 | 722 |
| 45.73 | 177 |
| 53.56 | 227 |
| 56.00 | 181 |
| 56.53 | 186 |
| 74.64 | 159 |
| 75.09 | 150 |



Record 11
Starting from a cell relaxed with PBE, the XRD peak list of Ac3Sb4 was simulated for Cu Kα X-rays.
No peak broadening, texture or thermal motion is included.

Atomic structure:
```
7
Lattice="6.7327 0.0000 0.0000 0.0000 6.7327 0.0000 0.0000 0.0000 6.7327" Properties=species:S:1:pos:R:3 pbc="T T T"
Ac 0.0000 0.0000 3.3663
Ac 0.0000 3.3663 0.0000
Ac 3.3663 0.0000 0.0000
Sb 0.0000 0.0000 0.0000
Sb 0.0000 3.3663 3.3663
Sb 3.3663 0.0000 3.3663
Sb 3.3663 3.3663 0.0000
```

Main lines, by angle (10° ≤ 2θ ≤ 80°):
| Position (°2θ) | I/Imax |
| --- | --- |
| 13.15 | 182 |
| 18.64 | 168 |
| 26.48 | 1000 |
| 29.67 | 110 |
| 32.58 | 87 |
| 37.79 | 790 |
| 40.18 | 62 |
| 46.74 | 289 |
| 50.74 | 52 |
| 54.52 | 138 |
| 61.60 | 382 |
| 68.24 | 282 |



Record 12
Starting from a cell relaxed with PBE, the XRD peak list of AcSb5 was simulated for Cu Kα X-rays.
No peak broadening, texture or thermal motion is included.

Atomic structure:
```
12
Lattice="5.3871 0.0000 0.0000 0.0000 11.7170 0.0000 -2.3301 0.0000 6.2777" Properties=species:S:1:pos:R:3 pbc="T T T"
Ac -0.0930 2.9293 2.7184
Ac 3.1500 8.7878 3.5593
Sb -0.9868 2.9293 5.9199
Sb 0.4560 6.5980 2.4655
Sb 0.4560 10.9775 2.4655
Sb -0.5201 7.0026 6.1989
Sb -0.5201 10.5729 6.1989
Sb 3.5771 1.1441 0.0788
Sb 3.5771 4.7144 0.0788
Sb 2.6010 0.7395 3.8122
Sb 2.6010 5.1190 3.8122
Sb 4.0438 8.7878 0.3578
```

Main lines, by angle (10° ≤ 2θ ≤ 80°):
| Position (°2θ) | I/Imax |
| --- | --- |
| 19.84 | 87 |
| 26.21 | 143 |
| 27.76 | 262 |
| 28.44 | 252 |
| 28.89 | 1000 |
| 35.55 | 180 |
| 36.19 | 273 |
| 36.40 | 112 |
| 36.73 | 227 |
| 37.13 | 95 |
| 43.99 | 110 |
| 46.50 | 122 |